Cs2Li2NiF6: computed PXRD pattern (λ = 1.5418 Å (Cu Kα)), based on a crystal structure in Alexandria, relaxed with PBE+U.
Neutral-atom scattering factors, no anomalous dispersion.

Most intense lines, 10° ≤ 2θ ≤ 90°, sorted by position:
19.00 deg, rel. 72
24.36 deg, rel. 86
29.42 deg, rel. 53
29.95 deg, rel. 95
30.05 deg, rel. 98
33.84 deg, rel. 35
37.67 deg, rel. 48
38.55 deg, rel. 100
46.61 deg, rel. 33
52.55 deg, rel. 37

Atomic structure:
```
11
Lattice="5.306 -3.036 0.000 5.306 3.036 0.000 -5.006 0.000 5.325" Properties=species:S:1:pos:R:3 pbc="T T T"
Cs 1.309 0.000 1.172
Cs 4.297 0.000 4.154
Li 1.105 0.000 4.403
Li 4.501 0.000 0.923
Ni -2.503 0.000 2.663
F 1.796 1.616 3.677
F 3.810 1.616 1.648
F -0.834 0.000 4.313
F 6.441 0.000 1.012
F 1.796 -1.616 3.677
F 3.810 -1.616 1.648
```